Structure and simulated XRD peak list of TlPF6 (a PBE-relaxed structure; λ = 1.5418 Å (Cu Kα)).
Kinematic intensities with the Lorentz-polarization factor, no thermal factor.

The 10 most intense peaks (2θ = 5–70°), sorted by position:
19.1 deg, I 40, hkl 1 1 1; 22.1 deg, I 100, hkl 2 0 0; 31.4 deg, I 68, hkl 2 2 0; 37.1 deg, I 72, hkl 3 1 1; 38.8 deg, I 27, hkl 2 2 2; 49.4 deg, I 20, hkl 3 3 1; 50.7 deg, I 32, hkl 4 2 0; 56.0 deg, I 30, hkl 4 2 2; 59.7 deg, I 20, hkl 5 1 1; 69.1 deg, I 14, hkl 5 1 3

```
TlPF6
1.0
8.0462 0.0000 0.0000
0.0000 8.0462 0.0000
0.0000 0.0000 8.0462
Tl P F
4 4 24
direct
0.0000 0.0000 0.0000 Tl
0.0000 0.5000 0.5000 Tl
0.5000 0.0000 0.5000 Tl
0.5000 0.5000 0.0000 Tl
0.0000 0.0000 0.5000 P
0.0000 0.5000 0.0000 P
0.5000 0.0000 0.0000 P
0.5000 0.5000 0.5000 P
0.0680 0.1358 0.6362 F
0.0680 0.3642 0.1362 F
0.1362 0.0680 0.3642 F
0.1362 0.4320 0.8642 F
0.1358 0.6362 0.0680 F
0.1358 0.8638 0.5680 F
0.3642 0.1362 0.0680 F
0.3642 0.3638 0.5680 F
0.3638 0.5680 0.3642 F
0.3638 0.9320 0.8642 F
0.4320 0.6358 0.6362 F
0.4320 0.8642 0.1362 F
0.5680 0.1358 0.8638 F
0.5680 0.3642 0.3638 F
0.6362 0.0680 0.1358 F
0.6362 0.4320 0.6358 F
0.6358 0.6362 0.4320 F
0.6358 0.8638 0.9320 F
0.8642 0.1362 0.4320 F
0.8642 0.3638 0.9320 F
0.8638 0.5680 0.1358 F
0.8638 0.9320 0.6358 F
0.9320 0.6358 0.8638 F
0.9320 0.8642 0.3638 F
```

Structure and simulated XRD peak list of PbF2 (a PBE-relaxed structure; λ = 1.5418 Å (Cu Kα)).
Kinematic intensities with the Lorentz-polarization factor, no thermal factor.

The 10 most intense peaks (2θ = 5–70°), sorted by position:
25.3 deg, I 36, hkl 0 1 1; 26.6 deg, I 82, hkl 1 0 2; 27.2 deg, I 43, hkl 2 0 0; 28.8 deg, I 100, hkl 1 1 1; 37.4 deg, I 39, hkl 2 1 1; 41.6 deg, I 35, hkl 0 1 3; 47.6 deg, I 23, hkl 3 0 2; 49.0 deg, I 29, hkl 3 1 1; 50.4 deg, I 39, hkl 2 1 3; 53.9 deg, I 25, hkl 1 2 2

```
PbF2
1.0
6.5659 0.0000 0.0000
0.0000 3.9464 0.0000
0.0000 0.0000 7.8079
Pb F
4 8
direct
0.2428 0.2500 0.0982 Pb
0.2572 0.7500 0.5982 Pb
0.7428 0.2500 0.4018 Pb
0.7572 0.7500 0.9018 Pb
0.0172 0.2500 0.8520 F
0.1414 0.2500 0.4291 F
0.3586 0.7500 0.9291 F
0.4828 0.7500 0.3520 F
0.5172 0.2500 0.6480 F
0.6414 0.2500 0.0709 F
0.8586 0.7500 0.5709 F
0.9828 0.7500 0.1480 F
```

Structure and simulated XRD peak list of PbF2 (a PBE-relaxed structure; λ = 1.5418 Å (Cu Kα)).
Kinematic intensities with the Lorentz-polarization factor, no thermal factor.

The 10 most intense peaks (2θ = 5–70°), sorted by position:
25.6 deg, I 100, hkl 1 1 1; 29.7 deg, I 22, hkl 2 0 0; 29.8 deg, I 11, hkl 0 2 0; 42.5 deg, I 56, hkl 0 2 2; 50.3 deg, I 34, hkl 3 1 1; 50.4 deg, I 17, hkl 1 3 1; 52.7 deg, I 10, hkl 2 2 2; 67.9 deg, I 14, hkl 3 3 1; 67.9 deg, I 7, hkl 1 3 3; 69.9 deg, I 10, hkl 4 0 2

```
PbF2
1.0
6.0241 0.0000 0.0000
0.0000 6.0041 0.0000
0.0000 0.0000 6.0226
Pb F
4 8
direct
0.0000 0.0000 0.0000 Pb
0.0000 0.5000 0.5000 Pb
0.5000 0.0000 0.5000 Pb
0.5000 0.5000 0.0000 Pb
0.2352 0.2425 0.7387 F
0.2352 0.7425 0.2387 F
0.2648 0.2425 0.2387 F
0.2648 0.7425 0.7387 F
0.7352 0.2575 0.7387 F
0.7352 0.7575 0.2387 F
0.7648 0.2575 0.2387 F
0.7648 0.7575 0.7387 F
```

Structure and simulated XRD peak list of PbF2 (a PBE-relaxed structure; λ = 1.5418 Å (Cu Kα)).
Kinematic intensities with the Lorentz-polarization factor, no thermal factor.

The 7 most intense peaks (2θ = 5–70°), sorted by position:
25.7 deg, I 100, hkl 1 1 1; 29.8 deg, I 33, hkl 2 0 0; 42.6 deg, I 57, hkl 2 2 0; 50.5 deg, I 50, hkl 3 1 1; 52.9 deg, I 10, hkl 2 2 2; 61.9 deg, I 9, hkl 4 0 0; 68.2 deg, I 21, hkl 3 3 1

```
PbF2
1.0
5.9973 0.0000 0.0000
0.0000 5.9973 0.0000
0.0000 0.0000 5.9973
Pb F
4 8
direct
0.0000 0.0000 0.0000 Pb
0.0000 0.5000 0.5000 Pb
0.5000 0.0000 0.5000 Pb
0.5000 0.5000 0.0000 Pb
0.2500 0.2500 0.2500 F
0.2500 0.2500 0.7500 F
0.2500 0.7500 0.2500 F
0.2500 0.7500 0.7500 F
0.7500 0.2500 0.2500 F
0.7500 0.2500 0.7500 F
0.7500 0.7500 0.2500 F
0.7500 0.7500 0.7500 F
```

Copy entry 4 word for word.
Structure and simulated XRD peak list of PbF2 (a PBE-relaxed structure; λ = 1.5418 Å (Cu Kα)).
Kinematic intensities with the Lorentz-polarization factor, no thermal factor.

The 7 most intense peaks (2θ = 5–70°), sorted by position:
25.7 deg, I 100, hkl 1 1 1; 29.8 deg, I 33, hkl 2 0 0; 42.6 deg, I 57, hkl 2 2 0; 50.5 deg, I 50, hkl 3 1 1; 52.9 deg, I 10, hkl 2 2 2; 61.9 deg, I 9, hkl 4 0 0; 68.2 deg, I 21, hkl 3 3 1

```
PbF2
1.0
5.9973 0.0000 0.0000
0.0000 5.9973 0.0000
0.0000 0.0000 5.9973
Pb F
4 8
direct
0.0000 0.0000 0.0000 Pb
0.0000 0.5000 0.5000 Pb
0.5000 0.0000 0.5000 Pb
0.5000 0.5000 0.0000 Pb
0.2500 0.2500 0.2500 F
0.2500 0.2500 0.7500 F
0.2500 0.7500 0.2500 F
0.2500 0.7500 0.7500 F
0.7500 0.2500 0.2500 F
0.7500 0.2500 0.7500 F
0.7500 0.7500 0.2500 F
0.7500 0.7500 0.7500 F
```